Starting from a DFT-relaxed cell (PBE, Alexandria), the XRD peak list of V6GaSi was simulated for CuKα.
Intensities are scaled so that the largest is 100.

The 10 most intense peaks (2θ from 10° to 80°), low angle first:
Position (°2θ), Rel. int.
37.7, 6
41.1, 24
42.3, 29
43.4, 100
46.5, 10
60.4, 14
65.6, 7
72.6, 4
76.5, 9
78.1, 15

Atomic structure:
a b c (Å): 4.2777 5.2321 5.2321
angles (deg): 65.87 90.00 90.00
Fractional coordinates of all 8 atoms:
V  0.0000  0.0000  0.0000
V  0.0000  0.0206  0.5014
V  0.0000  0.5014  0.0206
V  0.5000  0.2248  0.7201
V  0.5000  0.7201  0.2248
V  0.5000  0.7355  0.7355
Ga  0.0000  0.5241  0.5241
Si  0.5000  0.2108  0.2108